This entry pairs a crystal structure of Ca2MoWO6 with its theoretical X-ray diffraction stick pattern. Radiation: Cu Kα X-rays. Structure: a cell relaxed with GGA+U.
Peak positions follow from Bragg's law for the DFT cell and can differ from measured ones.

Principal peaks in the range 2θ = 5–70°, in order of falling intensity:
h k l	two_theta	d/Å	I/Imax
1 -1 0	31.35	2.854	100
1 0 1	22.11	4.020	98
1 2 1	31.81	2.813	88
1 1 0	22.27	3.992	51
1 1 2	31.56	2.835	51
1 0 -1	31.42	2.847	50

Structure:
Cell: 5.6225 5.6312 5.6715 Å, 60.75 60.56 60.86°
Fractional coordinates of all 10 atoms:
1 Ca 0.2258 0.2495 0.2513
2 Ca 0.7742 0.7505 0.7487
3 Mo 0.5000 0.5000 0.5000
4 W 0.0000 0.0000 0.0000
5 O 0.1717 0.8158 0.3122
6 O 0.1735 0.3073 0.8193
7 O 0.3546 0.7585 0.7605
8 O 0.6454 0.2415 0.2395
9 O 0.8265 0.6927 0.1807
10 O 0.8283 0.1842 0.6878